Y2HoTm4Sc: theoretical X-ray powder pattern (Cu Kα (λ = 1.5418 Å)), based on a GGA-PBE-relaxed structure.
No peak broadening, texture or thermal motion is included.

Crystal structure
```
Y2HoTm4Sc
1.0
4.927 0.000 0.000
0.000 4.927 0.000
0.000 0.000 9.871
Y Ho Tm Sc
2 1 4 1
Direct
0.000 0.000 0.000
0.500 0.500 0.500
0.000 0.000 0.500
0.000 0.500 0.246
0.000 0.500 0.754
0.500 0.000 0.246
0.500 0.000 0.754
0.500 0.500 0.000
```

Main lines, low angle first (10 to 90 degrees two-theta):
17.98 deg, I = 8.8, hkl 0 0 2
25.56 deg, I = 7.9, hkl 1 1 0
31.43 deg, I = 100.0, hkl 1 1 2
36.45 deg, I = 50.3, hkl 2 0 0
40.94 deg, I = 4.7, hkl 2 0 2
52.50 deg, I = 35.2, hkl 2 2 0
62.48 deg, I = 41.5, hkl 3 1 2
65.60 deg, I = 11.9, hkl 2 2 4
77.49 deg, I = 3.7, hkl 4 0 0
85.94 deg, I = 17.3, hkl 3 3 2
88.66 deg, I = 5.3, hkl 2 0 8
88.79 deg, I = 10.9, hkl 4 2 0